1.
# Fe2OF3
Theoretical XRD peak list, Cu Kα (λ = 1.5418 Å). Input: a cell relaxed with GGA+U.
Kinematic intensities with the Lorentz-polarization factor, no thermal factor.

Cell and atoms:
a b c (Å): 7.0115 6.7980 6.1700
angles (deg): 90.00 90.00 90.00
Space group Cmcm (No. 63)
One atom of each set of equivalent atoms:
Fe 0.0000 0.0000 0.0000 [4 per cell]
Fe 0.0000 0.4694 0.2500 [4 per cell]
O 0.0000 0.1681 0.2500 [4 per cell]
F 0.0000 0.2099 0.7500 [4 per cell]
F 0.2049 0.5000 0.0000 [8 per cell]

Main lines, by intensity (15° ≤ 2θ ≤ 90°):
d_spacing  I (rel.)  h k l
2.608  100  1 1 2
3.399  99  0 2 0
3.506  97  2 0 0
1.797  62  3 1 2
1.767  53  1 3 2
1.439  40  3 3 2
1.753  23  4 0 0
2.316  19  2 0 2
2.284  18  0 2 2
1.542  17  0 0 4

2.
# Fe6O7F5
Theoretical XRD peak list, Cu Kα (λ = 1.5418 Å). Input: a cell relaxed with GGA+U.
Kinematic intensities with the Lorentz-polarization factor, no thermal factor.

Cell and atoms:
a b c (Å): 9.3103 6.4039 7.6936
angles (deg): 90.00 116.19 90.00
Space group Cm (No. 8)
One atom of each set of equivalent atoms:
Fe 0.0000 0.0000 0.0000 [2 per cell]
Fe 0.0061 0.0000 0.4950 [2 per cell]
Fe 0.1602 0.5000 0.1859 [2 per cell]
Fe 0.1685 0.5000 0.6521 [2 per cell]
Fe 0.3393 0.0000 0.8318 [2 per cell]
Fe 0.3503 0.0000 0.3296 [2 per cell]
O 0.0019 0.3006 0.9990 [4 per cell]
O 0.0687 0.5000 0.3746 [2 per cell]
O 0.1703 0.1930 0.6636 [4 per cell]
O 0.3413 0.3060 0.3336 [4 per cell]
F 0.1142 0.0000 0.2948 [2 per cell]
F 0.2342 0.0000 0.0355 [2 per cell]
F 0.2690 0.5000 0.9493 [2 per cell]
F 0.4028 0.5000 0.7026 [2 per cell]
F 0.4392 0.0000 0.6301 [2 per cell]

Main lines, by intensity (15° ≤ 2θ ≤ 90°):
d_spacing  I (rel.)  h k l
3.535  100  2 0 -2
2.554  93  3 1 0
3.202  89  0 2 0
1.787  63  1 1 -4
1.694  49  3 3 0
1.402  40  1 3 -4
2.373  17  2 2 -2
1.768  17  4 0 -4
1.515  15  4 0 2
2.301  15  0 0 3